# LiGa2Ru
Theoretical powder diffraction line list, Cu Kα, 1.54184 Å. Input: a crystal structure in the Materials Project, relaxed with GGA-PBE.
Peak positions follow from Bragg's law for the DFT cell and can differ from measured ones.

Largest 10 diffraction maxima, sorted by position, 10° ≤ 2θ ≤ 90°:
- 2θ 25.45, intensity 39, (1 1 1)
- 2θ 29.47, intensity 3, (2 0 0)
- 2θ 42.16, intensity 100, (2 2 0)
- 2θ 49.89, intensity 18, (3 1 1)
- 2θ 52.28, intensity 1, (2 2 2)
- 2θ 61.15, intensity 16, (4 0 0)
- 2θ 67.33, intensity 7, (3 3 1)
- 2θ 69.32, intensity 1, (4 2 0)
- 2θ 77.07, intensity 32, (4 2 2)
- 2θ 82.72, intensity 5, (5 1 1)

Structure:
Lattice parameters (Å, degrees): 6.0621 6.0621 6.0621 90.00 90.00 90.00
Space group Fm-3m (No. 225)
Asymmetric unit:
1 Li 0.0000 0.0000 0.0000 [4 per cell]
2 Ga 0.2500 0.2500 0.2500 [8 per cell]
3 Ru 0.0000 0.0000 0.5000 [4 per cell]


# LiSm2Ga
Theoretical powder diffraction line list, Cu Kα, 1.54184 Å. Input: a crystal structure in the Materials Project, relaxed with GGA-PBE.
Peak positions follow from Bragg's law for the DFT cell and can differ from measured ones.

Largest 10 diffraction maxima, sorted by position, 10° ≤ 2θ ≤ 90°:
- 2θ 20.90, intensity 8, (1 1 1)
- 2θ 24.18, intensity 42, (2 0 0)
- 2θ 34.46, intensity 100, (2 2 0)
- 2θ 42.54, intensity 13, (2 2 2)
- 2θ 49.53, intensity 18, (4 0 0)
- 2θ 55.86, intensity 17, (4 2 0)
- 2θ 61.74, intensity 37, (4 2 2)
- 2θ 72.66, intensity 11, (4 4 0)
- 2θ 77.86, intensity 8, (6 0 0)
- 2θ 82.96, intensity 16, (6 2 0)

Structure:
Lattice parameters (Å, degrees): 7.3612 7.3612 7.3612 90.00 90.00 90.00
Space group Fm-3m (No. 225)
Asymmetric unit:
1 Li 0.0000 0.0000 0.0000 [4 per cell]
2 Sm 0.2500 0.2500 0.2500 [8 per cell]
3 Ga 0.0000 0.0000 0.5000 [4 per cell]